CeTh4Se6: computed X-ray powder pattern (Cu Kα X-rays), based on a structure optimized by DFT (GGA-PBE).

Cell and atoms:
Cell lengths 4.083, 14.020, 21.054 Å; angles 90.00, 90.00, 90.00 degrees
Space group Cmcm (No. 63)
Asymmetric unit:
Ce 0.000 0.163 0.250 x4
Th 0.000 0.089 0.624 x8
Th 0.000 0.357 0.536 x8
Se 0.000 0.000 0.000 x4
Se 0.000 0.181 0.750 x4
Se 0.000 0.264 0.099 x8
Se 0.000 0.446 0.667 x8

The 10 most intense peaks (2θ from 10° to 90°), low angle first:
2theta  I/Imax  index
24.7  68  0 2 5
28.4  48  0 2 6
29.4  61  1 3 1
30.3  100  1 3 2
31.8  67  1 3 3
32.4  50  0 2 7
41.3  43  1 1 8
42.3  43  0 6 4
42.7  41  1 5 4
44.4  51  2 0 0


CeTh6Se8: computed X-ray powder pattern (Cu Kα X-rays), based on a structure optimized by DFT (GGA-PBE).

Cell and atoms:
Cell lengths 11.829, 11.829, 11.829 Å; angles 90.00, 90.00, 90.00 degrees
Space group Fm-3m (No. 225)
Asymmetric unit:
Ce 0.000 0.000 0.000 x4
Th 0.000 0.250 0.250 x24
Se 0.000 0.000 0.259 x24
Se 0.250 0.250 0.250 x8

The 10 most intense peaks (2θ from 10° to 90°), low angle first:
2theta  I/Imax  index
15.0  11  2 0 0
21.2  10  2 2 0
26.1  30  2 2 2
30.2  100  4 0 0
43.3  75  4 4 0
51.2  16  6 2 2
53.7  27  4 4 4
62.9  13  8 0 0
71.3  34  8 4 0
79.4  26  8 4 4


Ce2TmSe4: computed X-ray powder pattern (Cu Kα X-rays), based on a structure optimized by DFT (GGA-PBE).

Cell and atoms:
Cell lengths 8.206, 8.370, 11.563 Å; angles 90.00, 90.00, 90.00 degrees
Space group Imma (No. 74)
Asymmetric unit:
Ce 0.000 0.000 0.000 x4
Ce 0.250 0.250 0.250 x4
Tm 0.250 0.250 0.750 x4
Se 0.000 0.011 0.742 x8
Se 0.249 0.250 0.506 x8

The 10 most intense peaks (2θ from 10° to 90°), low angle first:
2theta  I/Imax  index
13.2  21  1 0 1
30.5  100  2 2 0
30.9  48  0 0 4
43.2  19  0 4 0
44.0  72  2 2 4
44.1  18  4 0 0
54.1  19  0 4 4
54.9  19  4 0 4
72.3  16  4 4 4
73.0  16  2 2 8


Ce4Tm3Se8: computed X-ray powder pattern (Cu Kα X-rays), based on a structure optimized by DFT (GGA-PBE).

Cell and atoms:
Cell lengths 8.1005, 8.1005, 23.0430 Å; angles 90.00, 90.00, 120.00 degrees
Space group R-3m (No. 166, hexagonal axes)
Asymmetric unit:
Ce 0.0000 0.0000 0.0000 x3
Ce 0.0000 0.0000 0.1463 x6
Ce 0.0000 0.0000 0.5000 x3
Tm 0.0000 0.5000 0.0000 x9
Se 0.0000 0.0000 0.2699 x6
Se 0.0128 0.5064 0.2567 x18

The 10 most intense peaks (2θ from 10° to 90°), low angle first:
2theta  I/Imax  index
11.5  30  0 0 3
21.9  25  1 1 0
24.9  36  1 1 3
25.7  44  0 2 1
29.8  100  0 2 4
32.1  20  1 1 6
37.5  44  0 2 7
40.5  69  2 0 8
44.8  70  2 2 0
67.2  22  2 2 12


CeTm3Se6: computed X-ray powder pattern (Cu Kα X-rays), based on a structure optimized by DFT (GGA-PBE).

Cell and atoms:
Cell lengths 11.534, 4.100, 11.795 Å; angles 90.00, 109.14, 90.00 degrees
Space group P2_1/m (No. 11)
Asymmetric unit:
Ce 0.048 0.250 0.196 x2
Tm 0.159 0.250 0.586 x2
Tm 0.319 0.750 0.001 x2
Tm 0.440 0.250 0.334 x2
Se 0.083 0.750 0.406 x2
Se 0.119 0.250 0.965 x2
Se 0.198 0.750 0.751 x2
Se 0.263 0.750 0.228 x2
Se 0.392 0.250 0.559 x2
Se 0.480 0.250 0.114 x2

The 10 most intense peaks (2θ from 10° to 90°), low angle first:
2theta  I/Imax  index
22.6  48  1 0 -3
23.1  73  3 0 -1
25.4  61  1 1 1
29.9  100  2 1 1
30.9  48  2 0 -4
32.5  36  0 1 3
32.9  73  3 1 0
40.5  95  4 1 -3
42.2  46  1 1 4
44.2  68  0 2 0


CeTm4Se6: computed X-ray powder pattern (Cu Kα X-rays), based on a structure optimized by DFT (GGA-PBE).

Cell and atoms:
Cell lengths 4.012, 13.254, 20.503 Å; angles 90.00, 90.00, 90.00 degrees
Space group Cmcm (No. 63)
Asymmetric unit:
Ce 0.000 0.156 0.250 x4
Tm 0.000 0.092 0.625 x8
Tm 0.000 0.359 0.538 x8
Se 0.000 0.000 0.000 x4
Se 0.000 0.180 0.750 x4
Se 0.000 0.267 0.090 x8
Se 0.000 0.454 0.663 x8

The 10 most intense peaks (2θ from 10° to 90°), low angle first:
2theta  I/Imax  index
25.5  54  0 2 5
29.4  32  0 2 6
30.4  47  1 3 1
31.4  100  1 3 2
32.9  67  1 3 3
33.4  35  0 2 7
42.4  41  1 1 8
44.6  69  0 6 4
45.2  39  2 0 0
46.7  33  0 6 5


Ce3U2Se8: computed X-ray powder pattern (Cu Kα X-rays), based on a structure optimized by DFT (GGA-PBE).

Cell and atoms:
Cell lengths 9.955, 14.081, 4.988 Å; angles 90.00, 90.00, 90.00 degrees
Space group Cmmm (No. 65)
Asymmetric unit:
Ce 0.000 0.000 0.000 x2
Ce 0.225 0.500 0.500 x4
U 0.000 0.262 0.000 x4
Se 0.000 0.122 0.500 x4
Se 0.000 0.367 0.500 x4
Se 0.244 0.126 0.000 x8

The 10 most intense peaks (2θ from 10° to 90°), low angle first:
2theta  I/Imax  index
17.8  9  2 0 0
21.9  36  0 2 1
36.1  100  0 0 2
42.6  18  2 2 2
49.7  7  1 7 1
51.9  17  4 0 2
64.8  18  2 4 3
64.9  15  6 4 1
76.5  8  4 8 2
87.5  7  4 0 4